Starting from a cell relaxed with GGA-PBE, the powder X-ray diffraction pattern of Ba4ScTi4BiO15 was computed for Cu Kα (λ = 1.5418 Å).
Lines closer than 0.1° are merged.

Peak list (10 most intense, 2θ from 10° to 90°, in order of falling intensity)
Position (°2θ), I/Imax
31.29, 1000
44.84, 501
21.98, 364
55.82, 291
31.15, 254
31.40, 248
38.46, 201
65.29, 201
38.67, 199
55.52, 197

Structure:
a = 14.5301 Å, b = 14.5301 Å, c = 4.0401 Å
α = 90.00°, β = 90.00°, γ = 157.21°
Atoms (fractional coordinates):
1 Ba 0.1002 0.8998 0.0000
2 Ba 0.2998 0.7002 0.0000
3 Ba 0.7002 0.2998 0.0000
4 Ba 0.8998 0.1002 0.0000
5 Sc 0.0000 0.0000 0.5000
6 Ti 0.2000 0.8000 0.5000
7 Ti 0.4002 0.5998 0.5000
8 Ti 0.5998 0.4002 0.5000
9 Ti 0.8000 0.2000 0.5000
10 Bi 0.5000 0.5000 0.0000
11 O 0.0000 0.0000 0.0000
12 O 0.0000 0.5000 0.5000
13 O 0.0976 0.3979 0.5000
14 O 0.2000 0.8000 0.0000
15 O 0.2206 0.3206 0.5000
16 O 0.3206 0.2206 0.5000
17 O 0.3979 0.0976 0.5000
18 O 0.4017 0.5983 0.0000
19 O 0.5000 0.0000 0.5000
20 O 0.5983 0.4017 0.0000
21 O 0.6021 0.9024 0.5000
22 O 0.6794 0.7794 0.5000
23 O 0.7794 0.6794 0.5000
24 O 0.8000 0.2000 0.0000
25 O 0.9024 0.6021 0.5000

=====

Starting from a cell relaxed with GGA-PBE, the powder X-ray diffraction pattern of Ba2SmBiO6 was computed for Cu Kα (λ = 1.5418 Å).
Lines closer than 0.1° are merged.

Peak list (10 most intense, 2θ from 10° to 90°, in order of falling intensity)
Position (°2θ), I/Imax
28.65, 1000
50.76, 421
40.97, 286
81.79, 224
67.19, 187
59.33, 185
74.62, 62
20.15, 55
88.84, 31
46.06, 26

Structure:
a = 6.2309 Å, b = 6.2309 Å, c = 6.2309 Å
α = 60.00°, β = 60.00°, γ = 60.00°
Atoms (fractional coordinates):
1 Ba 0.2500 0.2500 0.2500
2 Ba 0.7500 0.7500 0.7500
3 Sm 0.0000 0.0000 0.0000
4 Bi 0.5000 0.5000 0.5000
5 O 0.2586 0.2586 0.7414
6 O 0.2586 0.7414 0.2586
7 O 0.2586 0.7414 0.7414
8 O 0.7414 0.2586 0.2586
9 O 0.7414 0.2586 0.7414
10 O 0.7414 0.7414 0.2586

=====

Starting from a cell relaxed with GGA-PBE, the powder X-ray diffraction pattern of Ba2SmBiO6 was computed for Cu Kα (λ = 1.5418 Å).
Lines closer than 0.1° are merged.

Peak list (10 most intense, 2θ from 10° to 90°, in order of falling intensity)
Position (°2θ), I/Imax
28.66, 1000
50.77, 434
40.98, 278
81.81, 228
67.20, 188
59.34, 177
74.64, 58
20.16, 53
88.86, 28
46.07, 25

Structure:
a = 8.8101 Å, b = 8.8101 Å, c = 8.8101 Å
α = 90.00°, β = 90.00°, γ = 90.00°
Atoms (fractional coordinates):
1 Ba 0.2500 0.2500 0.2500
2 Ba 0.2500 0.2500 0.7500
3 Ba 0.2500 0.7500 0.2500
4 Ba 0.2500 0.7500 0.7500
5 Ba 0.7500 0.2500 0.2500
6 Ba 0.7500 0.2500 0.7500
7 Ba 0.7500 0.7500 0.2500
8 Ba 0.7500 0.7500 0.7500
9 Sm 0.0000 0.0000 0.0000
10 Sm 0.0000 0.5000 0.5000
11 Sm 0.5000 0.0000 0.5000
12 Sm 0.5000 0.5000 0.0000
13 Bi 0.0000 0.0000 0.5000
14 Bi 0.0000 0.5000 0.0000
15 Bi 0.5000 0.0000 0.0000
16 Bi 0.5000 0.5000 0.5000
17 O 0.0218 0.5234 0.7589
18 O 0.0218 0.9766 0.7411
19 O 0.0234 0.2411 0.5218
20 O 0.0234 0.2589 0.9782
21 O 0.2411 0.5218 0.0234
22 O 0.2411 0.9782 0.4766
23 O 0.2589 0.5218 0.4766
24 O 0.2589 0.9782 0.0234
25 O 0.4766 0.2411 0.9782
26 O 0.4766 0.2589 0.5218
27 O 0.4782 0.5234 0.7411
28 O 0.4782 0.9766 0.7589
29 O 0.5218 0.0234 0.2411
30 O 0.5218 0.4766 0.2589
31 O 0.5234 0.7411 0.4782
32 O 0.5234 0.7589 0.0218
33 O 0.7411 0.0218 0.9766
34 O 0.7411 0.4782 0.5234
35 O 0.7589 0.0218 0.5234
36 O 0.7589 0.4782 0.9766
37 O 0.9766 0.7411 0.0218
38 O 0.9766 0.7589 0.4782
39 O 0.9782 0.0234 0.2589
40 O 0.9782 0.4766 0.2411

=====

Starting from a cell relaxed with GGA-PBE, the powder X-ray diffraction pattern of BaSrSmBiO6 was computed for Cu Kα (λ = 1.5418 Å).
Lines closer than 0.1° are merged.

Peak list (10 most intense, 2θ from 10° to 90°, in order of falling intensity)
Position (°2θ), I/Imax
29.00, 1000
51.41, 450
41.48, 271
82.98, 231
68.10, 187
60.11, 167
20.40, 106
75.67, 55
46.65, 50
17.64, 30

Structure:
a = 8.7043 Å, b = 8.7072 Å, c = 8.7122 Å
α = 90.00°, β = 90.00°, γ = 90.00°
Atoms (fractional coordinates):
1 Ba 0.0000 0.0000 0.0000
2 Ba 0.0000 0.0000 0.5000
3 Ba 0.5000 0.0000 0.0000
4 Ba 0.5000 0.5000 0.5000
5 Sr 0.0000 0.5000 0.0000
6 Sr 0.0000 0.5000 0.5000
7 Sr 0.5000 0.0000 0.5000
8 Sr 0.5000 0.5000 0.0000
9 Sm 0.2509 0.2525 0.7493
10 Sm 0.2509 0.7475 0.2507
11 Sm 0.7491 0.2525 0.2507
12 Sm 0.7491 0.7475 0.7493
13 Bi 0.2501 0.2534 0.2509
14 Bi 0.2501 0.7466 0.7491
15 Bi 0.7499 0.2534 0.7491
16 Bi 0.7499 0.7466 0.2509
17 O 0.0086 0.2225 0.2807
18 O 0.0086 0.7775 0.7193
19 O 0.2129 0.2891 0.0095
20 O 0.2129 0.7109 0.9905
21 O 0.2149 0.4915 0.2956
22 O 0.2149 0.5085 0.7044
23 O 0.2761 0.0101 0.2185
24 O 0.2761 0.9899 0.7815
25 O 0.2943 0.2156 0.4904
26 O 0.2943 0.7844 0.5096
27 O 0.4901 0.2919 0.2114
28 O 0.4901 0.7081 0.7886
29 O 0.5099 0.2919 0.7886
30 O 0.5099 0.7081 0.2114
31 O 0.7057 0.2156 0.5096
32 O 0.7057 0.7844 0.4904
33 O 0.7239 0.0101 0.7815
34 O 0.7239 0.9899 0.2185
35 O 0.7851 0.4915 0.7044
36 O 0.7851 0.5085 0.2956
37 O 0.7871 0.2891 0.9905
38 O 0.7871 0.7109 0.0095
39 O 0.9914 0.2225 0.7193
40 O 0.9914 0.7775 0.2807

=====

Starting from a cell relaxed with GGA-PBE, the powder X-ray diffraction pattern of BaSrSmBiO6 was computed for Cu Kα (λ = 1.5418 Å).
Lines closer than 0.1° are merged.

Peak list (10 most intense, 2θ from 10° to 90°, in order of falling intensity)
Position (°2θ), I/Imax
28.82, 1000
51.07, 421
41.21, 294
82.36, 224
59.70, 189
67.62, 187
20.27, 116
75.12, 63
46.34, 54
17.53, 40

Structure:
a = 6.1957 Å, b = 6.1957 Å, c = 6.1957 Å
α = 60.00°, β = 60.00°, γ = 60.00°
Atoms (fractional coordinates):
1 Ba 0.0000 0.0000 0.0000
2 Sr 0.5000 0.5000 0.5000
3 Sm 0.2500 0.2500 0.2500
4 Bi 0.7500 0.7500 0.7500
5 O 0.5084 0.5084 0.9916
6 O 0.5084 0.9916 0.5084
7 O 0.5084 0.9916 0.9916
8 O 0.9916 0.5084 0.5084
9 O 0.9916 0.5084 0.9916
10 O 0.9916 0.9916 0.5084

=====

Starting from a cell relaxed with GGA-PBE, the powder X-ray diffraction pattern of BaTlBi2O6 was computed for Cu Kα (λ = 1.5418 Å).
Lines closer than 0.1° are merged.

Peak list (10 most intense, 2θ from 10° to 90°, in order of falling intensity)
Position (°2θ), I/Imax
22.26, 1000
27.93, 994
31.57, 976
45.25, 508
44.13, 426
36.10, 413
25.80, 331
30.40, 276
57.07, 266
41.48, 240

Structure:
a = 23.9694 Å, b = 23.9694 Å, c = 4.0069 Å
α = 94.79°, β = 94.79°, γ = 166.43°
Atoms (fractional coordinates):
1 Ba 0.0000 0.0000 0.0000
2 Ba 0.6697 0.3303 0.0000
3 Tl 0.1088 0.8912 0.0000
4 Tl 0.5611 0.4389 0.0000
5 Bi 0.2289 0.7711 0.0000
6 Bi 0.3014 0.6986 0.0000
7 Bi 0.3683 0.6317 0.0000
8 Bi 0.4410 0.5590 0.0000
9 O 0.0657 0.9343 0.0000
10 O 0.1510 0.8490 0.0000
11 O 0.2085 0.7915 0.5000
12 O 0.2872 0.7128 0.5000
13 O 0.3822 0.6178 0.5000
14 O 0.4614 0.5386 0.5000
15 O 0.5190 0.4810 0.0000
16 O 0.6043 0.3957 0.0000
17 O 0.7085 0.2915 0.5000
18 O 0.7876 0.2124 0.5000
19 O 0.8823 0.1177 0.5000
20 O 0.9614 0.0386 0.5000

=====

Starting from a cell relaxed with GGA-PBE, the powder X-ray diffraction pattern of Ba2TlBi2O7 was computed for Cu Kα (λ = 1.5418 Å).
Lines closer than 0.1° are merged.

Peak list (10 most intense, 2θ from 10° to 90°, in order of falling intensity)
Position (°2θ), I/Imax
28.39, 1000
32.14, 489
55.04, 426
43.49, 271
52.20, 265
46.09, 238
25.31, 229
22.57, 210
72.15, 192
16.99, 159

Structure:
a = 3.9389 Å, b = 3.9389 Å, c = 15.6556 Å
α = 90.00°, β = 90.00°, γ = 90.00°
Atoms (fractional coordinates):
1 Ba 0.0000 0.0000 0.1789
2 Ba 0.0000 0.0000 0.8211
3 Tl 0.5000 0.5000 0.0000
4 Bi 0.5000 0.5000 0.3677
5 Bi 0.5000 0.5000 0.6323
6 O 0.0000 0.0000 0.0000
7 O 0.0000 0.5000 0.3062
8 O 0.0000 0.5000 0.6938
9 O 0.5000 0.0000 0.3062
10 O 0.5000 0.0000 0.6938
11 O 0.5000 0.5000 0.1298
12 O 0.5000 0.5000 0.8702

=====

Starting from a cell relaxed with GGA-PBE, the powder X-ray diffraction pattern of Ba2YBiO6 was computed for Cu Kα (λ = 1.5418 Å).
Lines closer than 0.1° are merged.

Peak list (10 most intense, 2θ from 10° to 90°, in order of falling intensity)
Position (°2θ), I/Imax
28.96, 1000
51.33, 425
41.42, 290
82.84, 224
67.99, 185
60.01, 183
17.62, 104
34.10, 62
75.54, 61
45.33, 28

Structure:
a = 8.7205 Å, b = 8.7205 Å, c = 8.7205 Å
α = 90.00°, β = 90.00°, γ = 90.00°
Atoms (fractional coordinates):
1 Ba 0.2500 0.2500 0.2500
2 Ba 0.2500 0.2500 0.7500
3 Ba 0.2500 0.7500 0.2500
4 Ba 0.2500 0.7500 0.7500
5 Ba 0.7500 0.2500 0.2500
6 Ba 0.7500 0.2500 0.7500
7 Ba 0.7500 0.7500 0.2500
8 Ba 0.7500 0.7500 0.7500
9 Y 0.0000 0.0000 0.0000
10 Y 0.0000 0.5000 0.5000
11 Y 0.5000 0.0000 0.5000
12 Y 0.5000 0.5000 0.0000
13 Bi 0.0000 0.0000 0.5000
14 Bi 0.0000 0.5000 0.0000
15 Bi 0.5000 0.0000 0.0000
16 Bi 0.5000 0.5000 0.5000
17 O 0.0169 0.5179 0.7562
18 O 0.0169 0.9821 0.7438
19 O 0.0179 0.2438 0.5169
20 O 0.0179 0.2562 0.9831
21 O 0.2438 0.5169 0.0179
22 O 0.2438 0.9831 0.4821
23 O 0.2562 0.5169 0.4821
24 O 0.2562 0.9831 0.0179
25 O 0.4821 0.2438 0.9831
26 O 0.4821 0.2562 0.5169
27 O 0.4831 0.5179 0.7438
28 O 0.4831 0.9821 0.7562
29 O 0.5169 0.0179 0.2438
30 O 0.5169 0.4821 0.2562
31 O 0.5179 0.7438 0.4831
32 O 0.5179 0.7562 0.0169
33 O 0.7438 0.0169 0.9821
34 O 0.7438 0.4831 0.5179
35 O 0.7562 0.0169 0.5179
36 O 0.7562 0.4831 0.9821
37 O 0.9821 0.7438 0.0169
38 O 0.9821 0.7562 0.4831
39 O 0.9831 0.0179 0.2562
40 O 0.9831 0.4821 0.2438